Entry 1:
# CeSe2
Simulated X-ray powder pattern, Cu Kα (λ = 1.5418 Å). Input: a crystal structure in the Materials Project, relaxed with GGA-PBE.
Lines closer than 0.1° are merged.

Cell and atoms:
```
data_CeSe2
_symmetry_space_group_name_H-M 'I 4/m'
_symmetry_Int_Tables_number 87
_symmetry_space_group_name_Hall '-I 4'
_cell_length_a 22.776
_cell_length_b 22.776
_cell_length_c 17.547
_cell_angle_alpha 90.00
_cell_angle_beta 90.00
_cell_angle_gamma 90.00
loop_
_atom_site_label
_atom_site_type_symbol
_atom_site_fract_x
_atom_site_fract_y
_atom_site_fract_z
_atom_site_occupancy
Ce1 Ce 0.000 0.355 0.250 1
Ce2 Ce 0.189 0.311 0.143 1
Se1 Se 0.072 0.290 0.159 1
Se2 Se 0.072 0.710 0.341 1
Se3 Se 0.075 0.425 0.330 1
Se4 Se 0.222 0.277 0.000 1
Se5 Se 0.250 0.250 0.250 1
```

Principal peaks in the range 2θ from 15° to 90°, by angle:
(hkl)  d [Å]  I (rel.)
4 1 1  5.269  49.6
4 2 0  5.080  100.0
3 5 0  3.906  35.5
6 1 1  3.661  47.4
4 3 3  3.594  60.3
3 3 4  3.397  39.2
4 2 4  3.325  52.0
7 1 4  2.596  42.6
3 3 6  2.567  32.0
8 0 4  2.388  49.8
1 7 6  2.165  48.4
8 0 6  2.042  59.0

***

Entry 2:
# Zn2NiRh
Simulated X-ray powder pattern, Cu Kα (λ = 1.5418 Å). Input: a crystal structure in the Materials Project, relaxed with GGA-PBE.
Lines closer than 0.1° are merged.

Cell and atoms:
```
data_Zn2NiRh
_symmetry_space_group_name_H-M 'F m -3 m'
_symmetry_Int_Tables_number 225
_symmetry_space_group_name_Hall '-F 4 2 3'
_cell_length_a 5.924
_cell_length_b 5.924
_cell_length_c 5.924
_cell_angle_alpha 90.00
_cell_angle_beta 90.00
_cell_angle_gamma 90.00
loop_
_atom_site_label
_atom_site_type_symbol
_atom_site_fract_x
_atom_site_fract_y
_atom_site_fract_z
_atom_site_occupancy
Zn1 Zn 0.250 0.250 0.250 1
Ni1 Ni 0.000 0.000 0.000 1
Rh1 Rh 0.000 0.000 0.500 1
```

Principal peaks in the range 2θ from 15° to 90°, by angle:
(hkl)  d [Å]  I (rel.)
1 1 1  3.420  4.4
2 0 0  2.962  1.1
2 2 0  2.094  100.0
3 1 1  1.786  2.1
4 0 0  1.481  15.6
3 3 1  1.359  0.9
4 2 2  1.209  30.8
5 1 1  1.140  0.7

***

Entry 3:
# Zn2BiO6
Simulated X-ray powder pattern, Cu Kα (λ = 1.5418 Å). Input: a crystal structure in the Materials Project, relaxed with GGA-PBE.
Lines closer than 0.1° are merged.

Cell and atoms:
```
data_Zn2BiO6
_symmetry_space_group_name_H-M 'P 42/m n m'
_symmetry_Int_Tables_number 136
_symmetry_space_group_name_Hall '-P 4n 2n'
_cell_length_a 4.837
_cell_length_b 4.837
_cell_length_c 9.628
_cell_angle_alpha 90.00
_cell_angle_beta 90.00
_cell_angle_gamma 90.00
loop_
_atom_site_label
_atom_site_type_symbol
_atom_site_fract_x
_atom_site_fract_y
_atom_site_fract_z
_atom_site_occupancy
Zn1 Zn 0.000 0.000 0.165 1
Bi1 Bi 0.000 0.000 0.500 1
O1 O 0.186 0.186 0.000 1
O2 O 0.197 0.197 0.325 1
```

Principal peaks in the range 2θ from 15° to 90°, by angle:
(hkl)  d [Å]  I (rel.)
0 0 2  4.814  14.1
1 0 1  4.322  43.4
1 1 0  3.420  100.0
1 1 2  2.788  17.0
1 0 3  2.674  79.1
2 0 0  2.418  23.0
2 1 1  2.111  15.2
2 1 3  1.794  68.0
2 2 0  1.710  16.7
3 1 0  1.530  15.4
1 1 6  1.453  15.7
3 0 3  1.441  20.5

***

Entry 4:
# Ho3Ge13Ru4
Simulated X-ray powder pattern, Cu Kα (λ = 1.5418 Å). Input: a crystal structure in the Materials Project, relaxed with GGA-PBE.
Lines closer than 0.1° are merged.

Cell and atoms:
```
data_Ho3Ge13Ru4
_symmetry_space_group_name_H-M 'P m -3 n'
_symmetry_Int_Tables_number 223
_symmetry_space_group_name_Hall '-P 4n 2 3'
_cell_length_a 9.034
_cell_length_b 9.034
_cell_length_c 9.034
_cell_angle_alpha 90.00
_cell_angle_beta 90.00
_cell_angle_gamma 90.00
loop_
_atom_site_label
_atom_site_type_symbol
_atom_site_fract_x
_atom_site_fract_y
_atom_site_fract_z
_atom_site_occupancy
Ho1 Ho 0.000 0.250 0.500 1
Ge1 Ge 0.000 0.000 0.000 1
Ge2 Ge 0.000 0.307 0.149 1
Ru1 Ru 0.250 0.250 0.250 1
```

Principal peaks in the range 2θ from 15° to 90°, by angle:
(hkl)  d [Å]  I (rel.)
2 1 0  4.040  14.6
2 2 2  2.608  21.6
3 2 0  2.506  100.0
3 2 1  2.414  39.6
4 0 0  2.259  31.9
4 1 0  2.191  10.3
4 2 2  1.844  19.0
4 4 0  1.597  10.2
4 3 3  1.549  12.4
5 3 2  1.466  14.3
6 2 2  1.362  21.2
6 4 1  1.241  10.2

***

Entry 5:
# MgMo2S4
Simulated X-ray powder pattern, Cu Kα (λ = 1.5418 Å). Input: a crystal structure in the Materials Project, relaxed with GGA-PBE.
Lines closer than 0.1° are merged.

Cell and atoms:
a b c (Å): 10.549 10.549 10.549
angles (deg): 90.00 90.00 90.00
Space group Fd-3m (No. 227, origin choice 2)
Asymmetric unit:
1 Mg 0.125 0.125 0.125 x8
2 Mo 0.000 0.000 0.500 x16
3 S 0.011 0.011 0.739 x32

Principal peaks in the range 2θ from 15° to 90°, by angle:
(hkl)  d [Å]  I (rel.)
3 1 1  3.181  94.0
4 0 0  2.637  100.0
5 1 1  2.030  48.1
4 4 0  1.865  89.6
5 3 1  1.783  22.9
5 3 3  1.609  12.3
4 4 4  1.523  20.9
5 5 1  1.477  13.4
5 5 3  1.373  18.6
8 0 0  1.319  13.1
5 5 5  1.218  13.1
8 4 0  1.179  26.2

***

Entry 6:
# TeN2
Simulated X-ray powder pattern, Cu Kα (λ = 1.5418 Å). Input: a crystal structure in the Materials Project, relaxed with GGA-PBE.
Lines closer than 0.1° are merged.

Cell and atoms:
```
data_TeN2
_symmetry_space_group_name_H-M 'F m -3 m'
_symmetry_Int_Tables_number 225
_symmetry_space_group_name_Hall '-F 4 2 3'
_cell_length_a 5.279
_cell_length_b 5.279
_cell_length_c 5.279
_cell_angle_alpha 90.00
_cell_angle_beta 90.00
_cell_angle_gamma 90.00
loop_
_atom_site_label
_atom_site_type_symbol
_atom_site_fract_x
_atom_site_fract_y
_atom_site_fract_z
_atom_site_occupancy
Te1 Te 0.000 0.000 0.000 1
N1 N 0.250 0.250 0.250 1
```

Principal peaks in the range 2θ from 15° to 90°, by angle:
(hkl)  d [Å]  I (rel.)
1 1 1  3.048  100.0
2 0 0  2.639  30.6
2 2 0  1.866  51.1
3 1 1  1.592  43.0
2 2 2  1.524  8.6
4 0 0  1.320  7.6
3 3 1  1.211  17.2
4 2 0  1.180  11.6

***

Entry 7:
# Ge3Pd
Simulated X-ray powder pattern, Cu Kα (λ = 1.5418 Å). Input: a crystal structure in the Materials Project, relaxed with GGA-PBE.
Lines closer than 0.1° are merged.

Cell and atoms:
```
data_Ge3Pd
_symmetry_space_group_name_H-M 'P m -3 m'
_symmetry_Int_Tables_number 221
_symmetry_space_group_name_Hall '-P 4 2 3'
_cell_length_a 4.142
_cell_length_b 4.142
_cell_length_c 4.142
_cell_angle_alpha 90.00
_cell_angle_beta 90.00
_cell_angle_gamma 90.00
loop_
_atom_site_label
_atom_site_type_symbol
_atom_site_fract_x
_atom_site_fract_y
_atom_site_fract_z
_atom_site_occupancy
Ge1 Ge 0.000 0.000 0.500 1
Pd1 Pd 0.500 0.500 0.500 1
```

Principal peaks in the range 2θ from 15° to 90°, by angle:
(hkl)  d [Å]  I (rel.)
1 0 0  4.142  3.2
1 1 0  2.929  2.6
1 1 1  2.391  100.0
2 0 0  2.071  48.8
2 1 0  1.852  1.3
2 1 1  1.691  1.0
2 2 0  1.464  31.3
3 0 0  1.381  0.6
3 1 1  1.249  36.5
2 2 2  1.196  10.6
3 2 1  1.107  0.5

***

Entry 8:
# Y2CuOs
Simulated X-ray powder pattern, Cu Kα (λ = 1.5418 Å). Input: a crystal structure in the Materials Project, relaxed with GGA-PBE.
Lines closer than 0.1° are merged.

Cell and atoms:
```
data_Y2CuOs
_symmetry_space_group_name_H-M 'F m -3 m'
_symmetry_Int_Tables_number 225
_symmetry_space_group_name_Hall '-F 4 2 3'
_cell_length_a 6.868
_cell_length_b 6.868
_cell_length_c 6.868
_cell_angle_alpha 90.00
_cell_angle_beta 90.00
_cell_angle_gamma 90.00
loop_
_atom_site_label
_atom_site_type_symbol
_atom_site_fract_x
_atom_site_fract_y
_atom_site_fract_z
_atom_site_occupancy
Y1 Y 0.250 0.250 0.250 1
Cu1 Cu 0.000 0.000 0.000 1
Os1 Os 0.000 0.000 0.500 1
```

Principal peaks in the range 2θ from 15° to 90°, by angle:
(hkl)  d [Å]  I (rel.)
1 1 1  3.966  16.8
2 0 0  3.434  3.4
2 2 0  2.428  100.0
3 1 1  2.071  9.2
2 2 2  1.983  1.1
4 0 0  1.717  17.2
3 3 1  1.576  4.1
4 2 0  1.536  1.5
4 2 2  1.402  34.5
5 1 1  1.322  3.2
4 4 0  1.214  10.7
5 3 1  1.161  3.3